The following is a simulated powder diffraction line list of CaTiMoP3O12. It was derived from a structure optimized by DFT (PBE+U), using Cu Kα X-rays.
Kinematic intensities with the Lorentz-polarization factor, no thermal factor.

Main lines, by angle (2θ from 10° to 90°):
| 2θ/deg | I_rel |
| --- | --- |
| 19.8 | 356 |
| 20.2 | 920 |
| 23.5 | 1000 |
| 31.6 | 889 |
| 35.4 | 400 |
| 45.4 | 275 |
| 48.2 | 311 |
| 55.3 | 262 |

Crystal structure
Lattice parameters (Å, degrees): 8.9640 8.9640 8.9640 58.75 58.75 58.75
Sites, in units of the cell vectors:
Ca (0.0000, 0.0000, 0.0000)
Ca (0.5000, 0.5000, 0.5000)
Ti (0.3503, 0.3503, 0.3503)
Ti (0.8503, 0.8503, 0.8503)
Mo (0.1433, 0.1433, 0.1433)
Mo (0.6433, 0.6433, 0.6433)
P (0.0457, 0.4610, 0.7388)
P (0.2388, 0.9610, 0.5457)
P (0.4610, 0.7388, 0.0457)
P (0.5457, 0.2388, 0.9610)
P (0.7388, 0.0457, 0.4610)
P (0.9610, 0.5457, 0.2388)
O (0.0698, 0.9507, 0.7304)
O (0.0724, 0.2733, 0.8993)
O (0.1273, 0.4989, 0.2914)
O (0.1910, 0.9887, 0.3926)
O (0.2304, 0.4507, 0.5698)
O (0.2733, 0.8993, 0.0724)
O (0.2914, 0.1273, 0.4989)
O (0.3926, 0.1910, 0.9887)
O (0.3993, 0.7733, 0.5724)
O (0.4507, 0.5698, 0.2304)
O (0.4887, 0.6910, 0.8926)
O (0.4989, 0.2914, 0.1273)
O (0.5698, 0.2304, 0.4507)
O (0.5724, 0.3993, 0.7733)
O (0.6273, 0.7914, 0.9989)
O (0.6910, 0.8926, 0.4887)
O (0.7304, 0.0698, 0.9507)
O (0.7733, 0.5724, 0.3993)
O (0.7914, 0.9989, 0.6273)
O (0.8926, 0.4887, 0.6910)
O (0.8993, 0.0724, 0.2733)
O (0.9507, 0.7304, 0.0698)
O (0.9887, 0.3926, 0.1910)
O (0.9989, 0.6273, 0.7914)